# NaLiV2O6
Computed PXRD pattern, CuKα. Input: a DFT-relaxed cell (GGA+U, Alexandria).

Structural model:
abc: 7.068 7.278 11.861
angles: 73.11 74.03 84.11
Space group P1 (No. 1)
Symmetry-distinct sites (fractional):
Na 0.000 0.000 0.000 x1
Na 0.006 0.977 0.494 x1
Na 0.364 0.636 0.997 x1
Na 0.542 0.463 0.742 x1
Li 0.160 0.863 0.745 x1
Li 0.174 0.835 0.251 x1
Li 0.387 0.597 0.486 x1
Li 0.506 0.510 0.246 x1
V 0.062 0.350 0.748 x1
V 0.086 0.326 0.253 x1
V 0.482 0.101 0.996 x1
V 0.488 0.120 0.485 x1
V 0.660 0.934 0.739 x1
V 0.661 0.915 0.246 x1
V 0.891 0.515 0.493 x1
V 0.895 0.523 0.003 x1
O 0.052 0.708 0.942 x1
O 0.063 0.685 0.439 x1
O 0.146 0.122 0.783 x1
O 0.177 0.101 0.283 x1
O 0.251 0.500 0.678 x1
O 0.263 0.489 0.206 x1
O 0.294 0.976 0.554 x1
O 0.299 0.942 0.059 x1
O 0.392 0.325 0.961 x1
O 0.416 0.350 0.436 x1
O 0.484 0.748 0.297 x1
O 0.491 0.762 0.785 x1
O 0.628 0.066 0.851 x1
O 0.636 0.095 0.594 x1
O 0.642 0.054 0.353 x1
O 0.644 0.070 0.097 x1
O 0.663 0.613 0.514 x1
O 0.665 0.603 0.054 x1
O 0.888 0.817 0.219 x1
O 0.889 0.839 0.711 x1
O 0.902 0.377 0.647 x1
O 0.914 0.392 0.891 x1
O 0.925 0.354 0.396 x1
O 0.956 0.359 0.136 x1

Largest 12 diffraction maxima, most intense first, 10° ≤ 2θ ≤ 80°:
26.3 deg, I = 100
27.1 deg, I = 93
24.7 deg, I = 81
24.6 deg, I = 81
18.0 deg, I = 80
32.7 deg, I = 55
30.7 deg, I = 39
29.0 deg, I = 35
28.5 deg, I = 34
27.7 deg, I = 26
18.5 deg, I = 22
25.6 deg, I = 22